# 1
Calculated powder X-ray diffraction pattern of CsSrNb2O6F for Cu Kα, from a GGA-PBE-relaxed structure.
Peak positions follow from Bragg's law for the DFT cell and can differ from measured ones.

```
CsSrNb2O6F
1.0
3.878 0.000 0.000
0.000 3.878 0.000
0.000 0.000 11.424
Cs Sr Nb O F
1 1 2 6 1
Cartesian
0.000 0.000 0.000
0.000 0.000 5.712
1.939 1.939 3.317
1.939 1.939 8.107
0.000 1.939 3.826
0.000 1.939 7.598
1.939 0.000 3.826
1.939 0.000 7.598
1.939 1.939 1.527
1.939 1.939 9.897
1.939 1.939 5.712
```

Most intense lines, 10 to 90 degrees two-theta, low angle first:
- 3.808 Å, rel. 11
- 3.672 Å, rel. 8
- 3.209 Å, rel. 100
- 2.856 Å, rel. 10
- 2.742 Å, rel. 38
- 1.978 Å, rel. 21
- 1.969 Å, rel. 12
- 1.939 Å, rel. 23
- 1.660 Å, rel. 29
- 1.604 Å, rel. 7

# 2
Calculated powder X-ray diffraction pattern of CsReOF6 for Cu Kα, from a GGA-PBE-relaxed structure.
Peak positions follow from Bragg's law for the DFT cell and can differ from measured ones.

```
CsReOF6
1.0
7.679 0.000 0.000
0.000 6.726 0.000
-0.428 0.000 10.208
Cs Re O F
4 4 4 24
Cartesian
1.466 1.635 5.095
1.252 1.728 10.199
5.999 4.998 0.009
5.786 5.091 5.113
1.859 4.845 7.777
2.073 5.244 2.673
5.179 1.482 7.535
5.393 1.881 2.431
3.015 4.995 6.536
3.229 5.095 1.432
4.023 1.632 8.777
4.237 1.731 3.673
0.440 4.407 6.563
0.653 5.683 1.459
0.553 4.601 9.199
0.767 5.489 4.095
1.161 3.608 2.248
0.947 6.481 7.352
1.972 0.451 2.504
1.758 2.912 7.608
2.820 3.857 3.776
2.606 6.233 8.880
3.094 4.046 9.020
3.308 6.044 3.916
3.943 0.682 6.292
4.157 2.681 1.188
4.646 0.494 1.328
4.432 2.869 6.432
5.493 3.814 2.600
5.280 6.275 7.704
6.305 0.245 2.856
6.091 3.118 7.960
6.485 1.238 6.114
6.699 2.126 1.009
6.598 1.044 8.750
6.812 2.320 3.645
```

Most intense lines, 10 to 90 degrees two-theta, low angle first:
- 5.058 Å, rel. 16
- 3.836 Å, rel. 46
- 3.643 Å, rel. 100
- 3.544 Å, rel. 80
- 3.363 Å, rel. 36
- 2.529 Å, rel. 25
- 2.198 Å, rel. 17
- 2.167 Å, rel. 19
- 1.991 Å, rel. 18
- 1.975 Å, rel. 21

# 3
Calculated powder X-ray diffraction pattern of Cs4Pd3F10 for Cu Kα, from a GGA-PBE-relaxed structure.
Peak positions follow from Bragg's law for the DFT cell and can differ from measured ones.

```
Cs4Pd3F10
1.0
3.026 -6.838 0.000
3.026 6.838 0.000
0.000 0.000 14.668
Cs Pd F
8 6 20
Cartesian
3.026 6.422 12.676
3.026 3.626 9.025
3.026 3.212 1.691
3.026 0.416 5.342
3.026 -0.416 9.325
3.026 -3.212 12.976
3.026 -3.626 5.643
3.026 -6.422 1.991
0.000 0.000 7.334
3.026 5.164 5.096
3.026 1.674 12.429
3.026 0.000 0.000
3.026 -1.674 2.238
3.026 -5.164 9.572
3.026 6.463 9.938
1.513 1.846 11.001
1.404 1.427 7.624
1.622 1.427 14.377
3.026 3.675 12.677
3.026 3.162 5.343
1.404 -1.427 7.043
1.622 -1.427 0.290
1.513 -1.846 3.667
3.026 0.375 2.604
3.026 -0.375 12.063
4.539 1.846 11.001
4.430 1.427 14.377
4.648 1.427 7.624
3.026 -3.162 9.325
3.026 -3.675 1.991
4.430 -1.427 0.290
4.648 -1.427 7.043
4.539 -1.846 3.667
3.026 -6.463 4.730
```

Most intense lines, 10 to 90 degrees two-theta, low angle first:
- 3.666 Å, rel. 45
- 3.261 Å, rel. 100
- 3.026 Å, rel. 56
- 2.920 Å, rel. 57
- 2.334 Å, rel. 42
- 2.266 Å, rel. 18
- 2.252 Å, rel. 22
- 2.030 Å, rel. 19
- 1.833 Å, rel. 18
- 1.789 Å, rel. 17